Diffraction record for Li9Fe2O8. The powder diffractogram is theoretical, not measured: it uses the GGA+U geometry in the Materials Project and λ = 1.5418 Å (Cu Kα).

Principal peaks in the range 2θ = 10–80°, in order of falling intensity:
d 3.732, 2θ 23.84, intensity 100
d 4.224, 2θ 21.03, intensity 58
d 4.167, 2θ 21.32, intensity 55
d 2.708, 2θ 33.08, intensity 41
d 5.382, 2θ 16.47, intensity 38
d 2.503, 2θ 35.88, intensity 33
d 5.267, 2θ 16.83, intensity 31
d 3.408, 2θ 26.15, intensity 28
d 3.317, 2θ 26.88, intensity 25
d 1.613, 2θ 57.09, intensity 24

Cell and atoms:
```
Li9Fe2O8
1.0
5.4992 0.0000 0.0000
0.0000 6.8155 0.0000
-3.2338 0.0000 10.7645
Li Fe O
18 4 16
direct
0.0000 0.9998 0.0000
0.0000 0.0002 0.5000
0.2514 0.2695 0.1398
0.2514 0.7305 0.6398
0.4257 0.2126 0.5358
0.4257 0.7874 0.0358
0.6514 0.4925 0.6805
0.6514 0.5075 0.1805
0.6970 0.2795 0.3992
0.6970 0.7205 0.8992
0.7098 0.0460 0.1192
0.7098 0.9540 0.6192
0.9371 0.4919 0.5454
0.9371 0.5081 0.0454
0.9712 0.2258 0.2771
0.9712 0.7742 0.7771
0.9717 0.2134 0.7674
0.9717 0.7866 0.2674
0.2335 0.4930 0.8997
0.2335 0.5070 0.3997
0.4604 0.0150 0.7826
0.4604 0.9850 0.2826
0.0641 0.4932 0.2285
0.0641 0.5068 0.7285
0.0749 0.2827 0.4526
0.0749 0.7173 0.9526
0.1013 0.2786 0.9597
0.1013 0.7214 0.4597
0.1053 0.0227 0.1954
0.1053 0.9773 0.6954
0.5628 0.4658 0.4927
0.5628 0.5342 0.9927
0.5970 0.2268 0.2255
0.5970 0.7732 0.7255
0.6091 0.2029 0.7069
0.6091 0.7971 0.2069
0.6120 0.0258 0.4522
0.6120 0.9742 0.9522
```

Diffraction record for Li3Fe2P2C2O14. The powder diffractogram is theoretical, not measured: it uses the GGA+U geometry in the Materials Project and λ = 1.5418 Å (Cu Kα).

Principal peaks in the range 2θ = 10–80°, in order of falling intensity:
d 3.231, 2θ 27.61, intensity 100
d 8.321, 2θ 10.63, intensity 81
d 4.188, 2θ 21.22, intensity 68
d 4.509, 2θ 19.69, intensity 54
d 3.360, 2θ 26.53, intensity 34
d 1.616, 2θ 56.97, intensity 20
d 5.124, 2θ 17.31, intensity 20
d 2.491, 2θ 36.06, intensity 19
d 2.543, 2θ 35.30, intensity 18
d 5.084, 2θ 17.44, intensity 18

Cell and atoms:
```
Li3Fe2P2C2O14
1.0
6.4624 0.0000 0.0000
0.0715 9.4170 0.0000
0.0622 4.6360 9.0188
Li Fe P C O
6 4 4 4 28
direct
0.0337 0.4844 0.2342
0.2531 0.8310 0.0672
0.2616 0.3307 0.5637
0.7384 0.6693 0.4363
0.7469 0.1690 0.9328
0.9663 0.5156 0.7658
0.2524 0.2600 0.0692
0.2558 0.7704 0.5633
0.7442 0.2296 0.4367
0.7476 0.7400 0.9308
0.2438 0.6484 0.9311
0.2479 0.1531 0.4259
0.7521 0.8469 0.5741
0.7562 0.3516 0.0689
0.2377 0.6641 0.3746
0.2478 0.1691 0.8703
0.7522 0.8309 0.1297
0.7623 0.3359 0.6254
0.0625 0.7454 0.9529
0.0639 0.2573 0.4345
0.2188 0.6291 0.2682
0.2289 0.4742 0.0606
0.2299 0.6393 0.7833
0.2387 0.9803 0.5519
0.2407 0.3181 0.8480
0.2445 0.5596 0.5146
0.2478 0.1394 0.7622
0.2507 0.1436 0.2787
0.2519 0.8125 0.3483
0.2570 0.0636 0.0096
0.4372 0.2426 0.4452
0.4375 0.7333 0.9489
0.5625 0.2667 0.0511
0.5628 0.7574 0.5548
0.7430 0.9364 0.9904
0.7481 0.1875 0.6517
0.7493 0.8564 0.7213
0.7522 0.8606 0.2378
0.7555 0.4404 0.4854
0.7593 0.6819 0.1520
0.7613 0.0197 0.4481
0.7701 0.3607 0.2167
0.7711 0.5258 0.9394
0.7812 0.3709 0.7318
0.9361 0.7427 0.5655
0.9375 0.2546 0.0471
```

Diffraction record for LiFe2OF3. The powder diffractogram is theoretical, not measured: it uses the GGA+U geometry in the Materials Project and λ = 1.5418 Å (Cu Kα).

Principal peaks in the range 2θ = 10–80°, in order of falling intensity:
d 2.709, 2θ 33.07, intensity 100
d 4.740, 2θ 18.72, intensity 53
d 5.097, 2θ 17.40, intensity 52
d 2.486, 2θ 36.13, intensity 50
d 2.194, 2θ 41.14, intensity 50
d 1.581, 2θ 58.37, intensity 50
d 3.162, 2θ 28.22, intensity 48
d 3.031, 2θ 29.47, intensity 46
d 2.666, 2θ 33.61, intensity 44
d 1.901, 2θ 47.86, intensity 32

Cell and atoms:
```
LiFe2OF3
1.0
5.0196 -3.1809 0.0000
5.0196 3.1809 0.0000
-3.2203 0.0000 5.1656
Li Fe O F
2 4 2 6
direct
0.0000 0.0000 0.0000
0.0000 0.0000 0.5000
0.0000 0.5000 0.0000
0.3942 0.3942 0.5589
0.5000 0.0000 0.0000
0.6058 0.6058 0.4411
0.2443 0.2443 0.1945
0.7557 0.7557 0.8055
0.2214 0.7676 0.7428
0.2324 0.7786 0.2572
0.2517 0.2517 0.7383
0.7483 0.7483 0.2617
0.7676 0.2214 0.7428
0.7786 0.2324 0.2572
```

Copy entry 2 word for word.
Diffraction record for Li3Fe2P2C2O14. The powder diffractogram is theoretical, not measured: it uses the GGA+U geometry in the Materials Project and λ = 1.5418 Å (Cu Kα).

Principal peaks in the range 2θ = 10–80°, in order of falling intensity:
d 3.231, 2θ 27.61, intensity 100
d 8.321, 2θ 10.63, intensity 81
d 4.188, 2θ 21.22, intensity 68
d 4.509, 2θ 19.69, intensity 54
d 3.360, 2θ 26.53, intensity 34
d 1.616, 2θ 56.97, intensity 20
d 5.124, 2θ 17.31, intensity 20
d 2.491, 2θ 36.06, intensity 19
d 2.543, 2θ 35.30, intensity 18
d 5.084, 2θ 17.44, intensity 18

Cell and atoms:
```
Li3Fe2P2C2O14
1.0
6.4624 0.0000 0.0000
0.0715 9.4170 0.0000
0.0622 4.6360 9.0188
Li Fe P C O
6 4 4 4 28
direct
0.0337 0.4844 0.2342
0.2531 0.8310 0.0672
0.2616 0.3307 0.5637
0.7384 0.6693 0.4363
0.7469 0.1690 0.9328
0.9663 0.5156 0.7658
0.2524 0.2600 0.0692
0.2558 0.7704 0.5633
0.7442 0.2296 0.4367
0.7476 0.7400 0.9308
0.2438 0.6484 0.9311
0.2479 0.1531 0.4259
0.7521 0.8469 0.5741
0.7562 0.3516 0.0689
0.2377 0.6641 0.3746
0.2478 0.1691 0.8703
0.7522 0.8309 0.1297
0.7623 0.3359 0.6254
0.0625 0.7454 0.9529
0.0639 0.2573 0.4345
0.2188 0.6291 0.2682
0.2289 0.4742 0.0606
0.2299 0.6393 0.7833
0.2387 0.9803 0.5519
0.2407 0.3181 0.8480
0.2445 0.5596 0.5146
0.2478 0.1394 0.7622
0.2507 0.1436 0.2787
0.2519 0.8125 0.3483
0.2570 0.0636 0.0096
0.4372 0.2426 0.4452
0.4375 0.7333 0.9489
0.5625 0.2667 0.0511
0.5628 0.7574 0.5548
0.7430 0.9364 0.9904
0.7481 0.1875 0.6517
0.7493 0.8564 0.7213
0.7522 0.8606 0.2378
0.7555 0.4404 0.4854
0.7593 0.6819 0.1520
0.7613 0.0197 0.4481
0.7701 0.3607 0.2167
0.7711 0.5258 0.9394
0.7812 0.3709 0.7318
0.9361 0.7427 0.5655
0.9375 0.2546 0.0471
```